(1)
Computed X-ray diffraction stick pattern of K3SnIrCl8 for Cu Kα, 1.54184 Å, from the PBE geometry in OQMD.

Structure:
a b c (Å): 9.5406 9.6140 7.9040
angles (deg): 90.00 90.00 90.00
Space group Pmn2_1 (No. 31)
One atom of each set of equivalent atoms:
K  0.0000  0.1380  0.0000
K  0.2406  0.6269  0.9307
Sn  0.0000  0.9056  0.5177
Ir  0.0000  0.6888  0.3380
Cl  0.0000  0.1474  0.4232
Cl  0.0000  0.4708  0.1762
Cl  0.0000  0.5605  0.5980
Cl  0.0000  0.8131  0.0793
Cl  0.1909  0.9342  0.7157
Cl  0.2503  0.3139  0.8330

Principal peaks in the range 2θ from 10° to 90°, sorted by position:
2θ = 13.1°, rel. 702, hkl 1 1 0
2θ = 14.5°, rel. 1000, hkl 1 0 1
2θ = 17.2°, rel. 132, hkl 1 1 1
2θ = 18.6°, rel. 236, hkl 2 0 0
2θ = 21.6°, rel. 129, hkl 0 2 1
2θ = 23.6°, rel. 388, hkl 2 1 1
2θ = 29.3°, rel. 151, hkl 0 2 2
2θ = 30.3°, rel. 185, hkl 3 0 1
2θ = 30.8°, rel. 381, hkl 2 1 2
2θ = 36.1°, rel. 127, hkl 0 3 2
2θ = 37.7°, rel. 203, hkl 4 0 0
2θ = 48.7°, rel. 144, hkl 5 1 0


(2)
Computed X-ray diffraction stick pattern of Rb2IrPdCl6 for Cu Kα, 1.54184 Å, from the PBE geometry in OQMD.

Structure:
a b c (Å): 9.9606 9.9606 9.9606
angles (deg): 90.00 90.00 90.00
Space group Fm-3m (No. 225)
One atom of each set of equivalent atoms:
Rb  0.2500  0.2500  0.2500
Ir  0.0000  0.0000  0.0000
Pd  0.0000  0.0000  0.5000
Cl  0.0000  0.0000  0.2406

Principal peaks in the range 2θ from 10° to 90°, sorted by position:
2θ = 15.4°, rel. 110, hkl 1 1 1
2θ = 17.8°, rel. 295, hkl 2 0 0
2θ = 25.3°, rel. 1000, hkl 2 2 0
2θ = 36.1°, rel. 582, hkl 4 0 0
2θ = 40.5°, rel. 136, hkl 4 2 0
2θ = 44.6°, rel. 445, hkl 4 2 2
2θ = 51.9°, rel. 387, hkl 4 4 0
2θ = 58.6°, rel. 206, hkl 6 2 0
2θ = 64.9°, rel. 129, hkl 4 4 4
2θ = 70.8°, rel. 233, hkl 6 4 2
2θ = 82.1°, rel. 116, hkl 6 6 0
2θ = 87.6°, rel. 173, hkl 8 4 0


(3)
Computed X-ray diffraction stick pattern of IrS3Cl11 for Cu Kα, 1.54184 Å, from the PBE geometry in OQMD.

Structure:
a b c (Å): 8.1188 13.3695 15.1842
angles (deg): 90.00 105.54 90.00
Space group P2_1/c (No. 14)
One atom of each set of equivalent atoms:
Ir  0.1013  0.0912  0.3038
S  0.0737  0.5200  0.1212
S  0.1241  0.5478  0.7278
S  0.3859  0.2321  0.9403
Cl  0.0330  0.2368  0.3820
Cl  0.0553  0.1328  0.6305
Cl  0.1098  0.6404  0.3291
Cl  0.1752  0.5137  0.6057
Cl  0.3156  0.1838  0.2585
Cl  0.3183  0.0576  0.4416
Cl  0.3262  0.5448  0.1844
Cl  0.3410  0.6270  0.7892
Cl  0.3530  0.0850  0.8956
Cl  0.3545  0.7457  0.5377
Cl  0.3726  0.2111  0.0722

Principal peaks in the range 2θ from 10° to 90°, sorted by position:
2θ = 11.3°, rel. 722, hkl 1 0 0
2θ = 12.1°, rel. 684, hkl 0 0 2
2θ = 13.1°, rel. 475, hkl 1 1 0
2θ = 14.2°, rel. 1000, hkl 1 0 -2
2θ = 14.6°, rel. 794, hkl 0 2 1
2θ = 15.7°, rel. 776, hkl 1 1 1
2θ = 17.4°, rel. 941, hkl 1 2 -1
2θ = 19.4°, rel. 589, hkl 0 1 3
2θ = 28.5°, rel. 607, hkl 2 2 -3
2θ = 30.4°, rel. 617, hkl 2 3 -2
2θ = 31.6°, rel. 447, hkl 2 2 -4
2θ = 35.7°, rel. 538, hkl 0 5 2


(4)
Computed X-ray diffraction stick pattern of ScIrCl6 for Cu Kα, 1.54184 Å, from the PBE geometry in OQMD.

Structure:
a b c (Å): 6.1409 10.6222 6.4058
angles (deg): 90.00 108.62 90.00
Space group C2 (No. 5)
One atom of each set of equivalent atoms:
Sc  0.0000  0.0000  0.0000
Ir  0.0000  0.3330  0.0000
Cl  0.2262  0.1748  0.2318
Cl  0.2358  0.3376  0.7701
Cl  0.2397  0.4868  0.2311

Principal peaks in the range 2θ from 10° to 90°, sorted by position:
2θ = 14.6°, rel. 1000, hkl 0 0 1
2θ = 16.7°, rel. 377, hkl 0 2 0
2θ = 17.4°, rel. 671, hkl 1 1 0
2θ = 19.3°, rel. 493, hkl 1 1 -1
2θ = 22.2°, rel. 323, hkl 0 2 1
2θ = 25.8°, rel. 202, hkl 1 1 1
2θ = 29.5°, rel. 273, hkl 1 3 0
2θ = 35.2°, rel. 405, hkl 2 0 -2
2θ = 35.3°, rel. 652, hkl 1 3 1
2θ = 45.7°, rel. 202, hkl 1 3 2
2θ = 49.9°, rel. 328, hkl 2 0 2
2θ = 51.6°, rel. 298, hkl 0 6 0